Calculated PXRD pattern of Pr2MgS4 for Cu Kα (weighted mean of Kα1 and Kα2), from a GGA-PBE-relaxed structure.
Intensities are scaled so that the largest is 100.

Cell and atoms:
Lattice parameters (Å, degrees): 8.174 8.174 8.174 60.00 60.00 60.00
Positions (direct):
Pr (0.000, 0.000, 0.000)
Pr (0.000, 0.000, 0.500)
Pr (0.000, 0.500, 0.000)
Pr (0.500, 0.000, 0.000)
Mg (0.375, 0.375, 0.375)
Mg (0.625, 0.625, 0.625)
S (0.244, 0.752, 0.752)
S (0.248, 0.248, 0.248)
S (0.248, 0.248, 0.756)
S (0.248, 0.756, 0.248)
S (0.752, 0.244, 0.752)
S (0.752, 0.752, 0.244)
S (0.752, 0.752, 0.752)
S (0.756, 0.248, 0.248)

Main lines, low angle first (2θ from 10° to 90°):
d = 6.674 Å, 2θ = 13.3°, I = 94
d = 3.485 Å, 2θ = 25.6°, I = 100
d = 3.337 Å, 2θ = 26.7°, I = 25
d = 2.890 Å, 2θ = 30.9°, I = 93
d = 2.652 Å, 2θ = 33.8°, I = 27
d = 2.225 Å, 2θ = 40.5°, I = 41
d = 2.044 Å, 2θ = 44.3°, I = 85
d = 1.954 Å, 2θ = 46.5°, I = 25
d = 1.292 Å, 2θ = 73.2°, I = 29
d = 1.180 Å, 2θ = 81.6°, I = 28